Record 1
Computed PXRD pattern
Compound: SmY3O6
Radiation: Cu Kα
Structure: a PBE-relaxed structure

Atomic structure:
```
SmY3O6
1.0
9.328 0.000 0.000
-3.112 8.806 0.000
-3.109 -4.401 7.629
Sm Y O
4 12 24
direct
0.000 0.000 0.000
0.000 0.498 0.499
0.252 0.717 0.969
0.500 0.998 0.502
0.030 0.748 0.282
0.219 0.969 0.750
0.251 0.217 0.469
0.282 0.530 0.250
0.469 0.251 0.219
0.501 0.497 0.000
0.533 0.746 0.782
0.717 0.466 0.751
0.749 0.280 0.031
0.750 0.779 0.531
0.782 0.029 0.250
0.969 0.247 0.717
0.010 0.039 0.767
0.029 0.485 0.255
0.042 0.267 0.511
0.230 0.451 0.969
0.232 0.274 0.245
0.245 0.973 0.012
0.257 0.766 0.230
0.268 0.011 0.542
0.275 0.744 0.729
0.457 0.466 0.730
0.469 0.229 0.957
0.489 0.754 0.530
0.512 0.242 0.470
0.536 0.767 0.042
0.544 0.530 0.270
0.725 0.254 0.267
0.731 0.986 0.457
0.744 0.230 0.775
0.755 0.028 0.987
0.769 0.724 0.757
0.770 0.541 0.032
0.958 0.729 0.488
0.967 0.506 0.740
0.989 0.957 0.231
```

Main lines, in order of rising 2θ (2θ = 10–90°):
d [Å]  Position (°2θ)  I (rel.)
4.401  20.18  11.1
3.112  28.68  100.0
2.695  33.24  28.7
2.114  42.77  7.4
1.906  47.72  43.1
1.625  56.63  31.9
1.590  58.01  5.3
1.556  59.39  5.9
1.237  77.09  7.0
1.101  88.91  5.2

=====

Record 2
Computed PXRD pattern
Compound: Sm2Zr8O19
Radiation: Cu Kα
Structure: a PBE-relaxed structure

Atomic structure:
```
Sm2Zr8O19
1.0
3.663 0.000 0.000
0.000 3.663 0.000
0.000 0.000 25.941
Sm Zr O
2 8 19
direct
0.000 0.500 0.058
0.500 0.000 0.942
0.000 0.500 0.254
0.000 0.500 0.451
0.000 0.500 0.648
0.000 0.500 0.845
0.500 0.000 0.155
0.500 0.000 0.352
0.500 0.000 0.549
0.500 0.000 0.746
0.000 0.000 0.000
0.000 0.000 0.112
0.000 0.000 0.210
0.000 0.000 0.307
0.000 0.000 0.404
0.000 0.000 0.500
0.000 0.000 0.596
0.000 0.000 0.693
0.000 0.000 0.790
0.000 0.000 0.888
0.500 0.500 0.101
0.500 0.500 0.199
0.500 0.500 0.299
0.500 0.500 0.399
0.500 0.500 0.500
0.500 0.500 0.601
0.500 0.500 0.701
0.500 0.500 0.801
0.500 0.500 0.899
```

Main lines, in order of rising 2θ (2θ = 10–90°):
d [Å]  Position (°2θ)  I (rel.)
3.190  27.97  3.0
2.993  29.86  100.0
2.592  34.61  24.2
1.833  49.76  54.2
1.563  59.12  39.0
1.496  62.03  6.5
1.295  73.06  5.6
1.189  80.83  14.5
1.159  83.37  5.2
1.158  83.44  3.3

=====

Record 3
Computed PXRD pattern
Compound: Sm2Zr2O7
Radiation: Cu Kα
Structure: a PBE-relaxed structure

Atomic structure:
```
Sm2Zr2O7
1.0
7.618 0.000 0.000
0.000 3.655 0.000
0.000 0.000 10.871
Sm Zr O
4 4 14
direct
0.000 0.000 0.000
0.250 0.500 0.277
0.500 0.000 0.000
0.750 0.500 0.723
0.000 0.000 0.500
0.250 0.500 0.741
0.500 0.000 0.500
0.750 0.500 0.259
0.023 0.500 0.616
0.040 0.500 0.132
0.250 0.000 0.396
0.250 0.000 0.633
0.250 0.000 0.873
0.460 0.500 0.132
0.477 0.500 0.616
0.523 0.500 0.384
0.540 0.500 0.868
0.750 0.000 0.127
0.750 0.000 0.367
0.750 0.000 0.604
0.960 0.500 0.868
0.977 0.500 0.384
```

Main lines, in order of rising 2θ (2θ = 10–90°):
d [Å]  Position (°2θ)  I (rel.)
3.119  28.62  100.0
3.033  29.45  93.9
2.718  32.96  17.2
2.637  34.00  39.0
1.905  47.76  17.4
1.893  48.08  62.5
1.827  49.91  16.2
1.613  57.11  28.4
1.577  58.54  26.1
1.236  77.19  14.3

=====

Record 4
Computed PXRD pattern
Compound: Sm4ZrO8
Radiation: Cu Kα
Structure: a PBE-relaxed structure

Atomic structure:
```
Sm4ZrO8
1.0
-1.889 1.937 13.942
1.889 -1.937 13.942
1.889 1.937 -13.942
Sm Zr O
4 1 8
direct
0.090 0.090 0.000
0.296 0.296 0.000
0.704 0.704 0.000
0.910 0.910 0.000
0.500 0.500 0.000
0.046 0.546 0.500
0.241 0.741 0.500
0.352 0.852 0.500
0.455 0.955 0.500
0.545 0.045 0.500
0.648 0.148 0.500
0.759 0.259 0.500
0.954 0.454 0.500
```

Main lines, in order of rising 2θ (2θ = 10–90°):
d [Å]  Position (°2θ)  I (rel.)
3.182  28.04  98.2
3.127  28.54  100.0
2.788  32.10  19.5
2.705  33.12  44.3
1.941  46.79  60.0
1.937  46.90  17.9
1.889  48.18  16.5
1.676  54.77  11.4
1.647  55.82  30.2
1.624  56.68  27.5

=====

Record 5
Computed PXRD pattern
Compound: Sm2Zr2O7
Radiation: Cu Kα
Structure: a PBE-relaxed structure

Atomic structure:
```
Sm2Zr2O7
1.0
0.000 5.360 5.360
5.360 0.000 5.360
5.360 5.360 0.000
Sm Zr O
4 4 14
direct
0.000 0.000 0.000
0.000 0.000 0.500
0.000 0.500 0.000
0.500 0.000 0.000
0.000 0.500 0.500
0.500 0.000 0.500
0.500 0.500 0.000
0.500 0.500 0.500
0.125 0.125 0.125
0.162 0.162 0.588
0.162 0.588 0.162
0.162 0.588 0.588
0.412 0.412 0.838
0.412 0.838 0.412
0.412 0.838 0.838
0.588 0.162 0.162
0.588 0.162 0.588
0.588 0.588 0.162
0.838 0.412 0.412
0.838 0.412 0.838
0.838 0.838 0.412
0.875 0.875 0.875
```

Main lines, in order of rising 2θ (2θ = 10–90°):
d [Å]  Position (°2θ)  I (rel.)
3.094  28.85  100.0
2.680  33.44  31.2
2.459  36.54  5.9
1.895  48.01  49.3
1.616  56.99  43.5
1.547  59.77  9.6
1.340  70.25  7.1
1.230  77.66  17.3
1.198  80.07  13.4
1.094  89.61  14.1

=====

Record 6
Computed PXRD pattern
Compound: Sm2Zr8O19
Radiation: Cu Kα
Structure: a PBE-relaxed structure

Atomic structure:
```
Sm2Zr8O19
1.0
3.579 0.000 0.000
0.000 3.704 0.000
0.000 0.000 26.198
Sm Zr O
2 8 19
direct
0.000 0.000 0.000
0.500 0.500 0.118
0.000 0.000 0.218
0.000 0.000 0.414
0.000 0.000 0.609
0.000 0.000 0.804
0.500 0.500 0.316
0.500 0.500 0.512
0.500 0.500 0.707
0.500 0.500 0.902
0.000 0.500 0.052
0.000 0.500 0.174
0.000 0.500 0.270
0.000 0.500 0.368
0.000 0.500 0.463
0.000 0.500 0.561
0.000 0.500 0.655
0.000 0.500 0.753
0.000 0.500 0.848
0.000 0.500 0.947
0.500 0.000 0.159
0.500 0.000 0.259
0.500 0.000 0.358
0.500 0.000 0.459
0.500 0.000 0.556
0.500 0.000 0.657
0.500 0.000 0.754
0.500 0.000 0.855
0.500 0.000 0.951
```

Main lines, in order of rising 2θ (2θ = 10–90°):
d [Å]  Position (°2θ)  I (rel.)
3.024  29.54  100.0
2.955  30.24  99.6
2.620  34.23  14.9
2.574  34.86  33.2
1.852  49.20  20.5
1.836  49.66  66.3
1.789  51.04  18.2
1.569  58.85  38.3
1.540  60.08  26.2
1.287  73.61  11.3

=====

Record 7
Computed PXRD pattern
Compound: Sm2Zr2O7
Radiation: Cu Kα
Structure: a PBE-relaxed structure

Atomic structure:
```
Sm2Zr2O7
1.0
7.984 0.000 0.000
0.000 5.639 0.000
-2.044 0.000 13.773
Sm Zr O
8 8 28
direct
0.139 0.000 0.062
0.235 0.441 0.422
0.285 0.912 0.631
0.358 0.426 0.896
0.642 0.926 0.104
0.715 0.412 0.369
0.765 0.941 0.578
0.861 0.500 0.938
0.029 0.430 0.618
0.075 0.933 0.819
0.412 0.445 0.175
0.469 0.931 0.377
0.531 0.431 0.623
0.588 0.945 0.825
0.925 0.433 0.181
0.971 0.930 0.382
0.005 0.092 0.675
0.068 0.712 0.520
0.080 0.217 0.915
0.135 0.634 0.729
0.143 0.713 0.933
0.172 0.314 0.183
0.222 0.035 0.387
0.272 0.312 0.585
0.324 0.059 0.800
0.369 0.768 0.119
0.415 0.241 0.050
0.421 0.588 0.326
0.444 0.708 0.522
0.478 0.640 0.732
0.522 0.140 0.268
0.556 0.208 0.478
0.579 0.088 0.674
0.585 0.741 0.950
0.631 0.268 0.881
0.676 0.559 0.200
0.728 0.812 0.415
0.778 0.535 0.613
0.828 0.814 0.817
0.857 0.213 0.067
0.865 0.134 0.271
0.920 0.717 0.085
0.932 0.212 0.480
0.995 0.592 0.325
```

Main lines, in order of rising 2θ (2θ = 10–90°):
d [Å]  Position (°2θ)  I (rel.)
3.443  25.87  33.3
3.235  27.57  35.1
3.070  29.08  100.0
2.939  30.42  34.2
2.819  31.74  40.5
2.805  31.90  66.8
2.181  41.39  21.5
1.996  45.44  27.0
1.987  45.65  21.3
1.629  56.49  22.0